[1]
This entry pairs a crystal structure of K5U2O4F9 with its calculated powder diffraction line list. Radiation: Cu Kα, 1.54184 Å. Structure: a crystal structure in the Materials Project, relaxed with PBE.
No peak broadening, texture or thermal motion is included.

Largest 8 diffraction maxima, low angle first, 10 to 90 degrees two-theta:
index, 2theta, d (Å), I (rel.)
0 0 2, 13.72, 6.456, 28
1 1 0, 14.43, 6.139, 24
2 0 -2, 14.54, 6.092, 38
1 1 -1, 15.57, 5.691, 100
3 1 1, 21.14, 4.202, 51
4 0 2, 24.46, 3.639, 46
3 1 -3, 25.94, 3.435, 22
9 1 -1, 41.26, 2.188, 27

```
data_K5U2O4F9
_symmetry_space_group_name_H-M 'C 1 2/c 1'
_symmetry_Int_Tables_number 15
_cell_length_a 20.951
_cell_length_b 6.436
_cell_length_c 13.231
_cell_angle_alpha 90.00
_cell_angle_beta 102.61
_cell_angle_gamma 90.00
loop_
_symmetry_equiv_pos_as_xyz
'x,y,z'
'-x,-y,-z'
'-x,y,-z+1/2'
'x,-y,z+1/2'
'x+1/2,y+1/2,z'
'-x+1/2,-y+1/2,-z'
'-x+1/2,y+1/2,-z+1/2'
'x+1/2,-y+1/2,z+1/2'
loop_
_atom_site_label
_atom_site_fract_x
_atom_site_fract_y
_atom_site_fract_z
K1 0.041 0.232 0.065
K2 0.216 0.288 0.622
K3 0.250 0.250 0.000
U1 0.109 0.327 0.809
O1 0.109 0.468 0.212
O2 0.116 0.131 0.913
F1 0.000 0.230 0.750
F2 0.052 0.492 0.403
F3 0.102 0.115 0.671
F4 0.185 0.451 0.419
F5 0.213 0.211 0.807
```



[2]
This entry pairs a crystal structure of HoSb3 with its calculated powder diffraction line list. Radiation: Cu Kα, 1.54184 Å. Structure: a crystal structure in the Materials Project, relaxed with PBE.
No peak broadening, texture or thermal motion is included.

Largest 8 diffraction maxima, low angle first, 10 to 90 degrees two-theta:
index, 2theta, d (Å), I (rel.)
0 0 2, 30.46, 2.935, 33
2 0 0, 31.58, 2.833, 22
2 0 1, 35.17, 2.552, 100
2 0 2, 44.44, 2.039, 17
2 2 0, 56.23, 1.636, 17
2 0 3, 57.21, 1.610, 24
2 2 2, 65.30, 1.429, 21
4 0 1, 68.08, 1.377, 14

```
data_HoSb3
_symmetry_space_group_name_H-M 'P 63/m m c'
_symmetry_Int_Tables_number 194
_symmetry_space_group_name_Hall '-P 6c 2c'
_cell_length_a 6.5435
_cell_length_b 6.5435
_cell_length_c 5.8702
_cell_angle_alpha 90.00
_cell_angle_beta 90.00
_cell_angle_gamma 120.00
loop_
_atom_site_label
_atom_site_fract_x
_atom_site_fract_y
_atom_site_fract_z
Ho1 0.3333 0.6667 0.2500
Sb1 0.1752 0.3504 0.7500
```



[3]
This entry pairs a crystal structure of Pr12Fe2I17 with its calculated powder diffraction line list. Radiation: Cu Kα, 1.54184 Å. Structure: a crystal structure in the Materials Project, relaxed with PBE.
No peak broadening, texture or thermal motion is included.

Largest 8 diffraction maxima, low angle first, 10 to 90 degrees two-theta:
index, 2theta, d (Å), I (rel.)
0 1 -1, 10.15, 8.711, 45
0 3 1, 27.35, 3.261, 100
1 -2 3, 27.77, 3.212, 99
-3 1 2, 28.04, 3.182, 100
-3 4 3, 39.46, 2.283, 35
1 -5 2, 39.60, 2.276, 65
3 2 -1, 39.67, 2.272, 32
4 -3 1, 40.14, 2.246, 33

```
data_Pr12Fe2I17
_symmetry_space_group_name_H-M 'P -1'
_symmetry_Int_Tables_number 2
_cell_length_a 10.035
_cell_length_b 12.067
_cell_length_c 12.103
_cell_angle_alpha 93.43
_cell_angle_beta 104.68
_cell_angle_gamma 114.52
loop_
_symmetry_equiv_pos_as_xyz
'x,y,z'
'-x,-y,-z'
loop_
_atom_site_label
_atom_site_fract_x
_atom_site_fract_y
_atom_site_fract_z
Pr1 0.009 0.189 0.417
Pr2 0.058 0.510 0.323
Pr3 0.146 0.287 0.153
Pr4 0.222 0.670 0.988
Pr5 0.260 0.985 0.892
Pr6 0.350 0.759 0.718
Fe1 0.104 0.738 0.786
I1 0.000 0.000 0.000
I2 0.056 0.367 0.896
I3 0.158 0.106 0.677
I4 0.216 0.471 0.583
I5 0.248 0.819 0.463
I6 0.325 0.212 0.370
I7 0.361 0.582 0.243
I8 0.411 0.947 0.158
I9 0.452 0.294 0.047
```



[4]
This entry pairs a crystal structure of IrSe3Br9 with its calculated powder diffraction line list. Radiation: Cu Kα, 1.54184 Å. Structure: a crystal structure in the Materials Project, relaxed with PBE.
No peak broadening, texture or thermal motion is included.

Largest 8 diffraction maxima, low angle first, 10 to 90 degrees two-theta:
index, 2theta, d (Å), I (rel.)
1 0 -2, 11.85, 7.468, 20
1 1 0, 12.90, 6.861, 100
0 1 2, 13.22, 6.695, 62
0 2 0, 13.34, 6.637, 20
1 3 1, 24.82, 3.588, 16
2 2 -4, 27.42, 3.253, 32
1 2 -5, 29.14, 3.064, 22
3 0 0, 33.54, 2.672, 23

```
data_IrSe3Br9
_symmetry_space_group_name_H-M 'P 1 21/c 1'
_symmetry_Int_Tables_number 14
_cell_length_a 8.942
_cell_length_b 13.274
_cell_length_c 17.300
_cell_angle_alpha 90.00
_cell_angle_beta 116.32
_cell_angle_gamma 90.00
loop_
_symmetry_equiv_pos_as_xyz
'x,y,z'
'-x,-y,-z'
'-x,y+1/2,-z+1/2'
'x,-y+1/2,z+1/2'
loop_
_atom_site_label
_atom_site_fract_x
_atom_site_fract_y
_atom_site_fract_z
Ir1 0.205 0.238 0.128
Se1 0.182 0.181 0.260
Se2 0.213 0.076 0.073
Se3 0.242 0.177 0.513
Br1 0.101 0.667 0.263
Br2 0.101 0.734 0.484
Br3 0.142 0.114 0.704
Br4 0.162 0.095 0.924
Br5 0.245 0.001 0.536
Br6 0.253 0.005 0.280
Br7 0.481 0.707 0.967
Br8 0.484 0.006 0.134
Br9 0.496 0.243 0.247
```



[5]
This entry pairs a crystal structure of LiTi2O4 with its calculated powder diffraction line list. Radiation: Cu Kα, 1.54184 Å. Structure: a crystal structure in the Materials Project, relaxed with PBE.
No peak broadening, texture or thermal motion is included.

Largest 8 diffraction maxima, low angle first, 10 to 90 degrees two-theta:
index, 2theta, d (Å), I (rel.)
0 2 1, 24.01, 3.707, 95
1 0 1, 24.71, 3.603, 100
0 0 4, 40.57, 2.224, 56
0 4 0, 44.44, 2.039, 43
2 0 0, 46.07, 1.970, 42
0 4 4, 61.73, 1.503, 23
2 0 4, 63.04, 1.475, 24
2 4 0, 65.93, 1.417, 21

```
data_LiTi2O4
_symmetry_space_group_name_H-M 'P m n 21'
_symmetry_Int_Tables_number 31
_cell_length_a 3.940
_cell_length_b 8.155
_cell_length_c 8.895
_cell_angle_alpha 90.00
_cell_angle_beta 90.00
_cell_angle_gamma 90.00
loop_
_symmetry_equiv_pos_as_xyz
'x,y,z'
'-x+1/2,-y,z+1/2'
'-x,y,z'
'x+1/2,-y,z+1/2'
loop_
_atom_site_label
_atom_site_fract_x
_atom_site_fract_y
_atom_site_fract_z
Li1 0.000 0.123 0.000
Li2 0.000 0.870 0.247
Ti1 0.000 0.146 0.494
Ti2 0.000 0.388 0.738
Ti3 0.000 0.617 0.499
Ti4 0.000 0.858 0.739
O1 0.000 0.115 0.261
O2 0.000 0.127 0.715
O3 0.000 0.365 0.967
O4 0.000 0.377 0.513
O5 0.000 0.627 0.725
O6 0.000 0.629 0.269
O7 0.000 0.876 0.515
O8 0.000 0.882 0.969
```



[6]
This entry pairs a crystal structure of ZrTlCuSe3 with its calculated powder diffraction line list. Radiation: Cu Kα, 1.54184 Å. Structure: a crystal structure in the Materials Project, relaxed with PBE.
No peak broadening, texture or thermal motion is included.

Largest 8 diffraction maxima, low angle first, 10 to 90 degrees two-theta:
index, 2theta, d (Å), I (rel.)
0 2 2, 21.10, 4.210, 31
0 4 2, 29.68, 3.010, 31
1 3 1, 30.53, 2.928, 100
1 3 2, 34.20, 2.622, 29
0 0 4, 35.19, 2.550, 32
1 1 3, 35.64, 2.519, 32
2 0 0, 46.89, 1.938, 22
1 3 5, 54.04, 1.697, 30

```
data_ZrTlCuSe3
_symmetry_space_group_name_H-M 'C m c m'
_symmetry_Int_Tables_number 63
_symmetry_space_group_name_Hall '-C 2c 2'
_cell_length_a 3.875
_cell_length_b 14.913
_cell_length_c 10.201
_cell_angle_alpha 90.00
_cell_angle_beta 90.00
_cell_angle_gamma 90.00
loop_
_atom_site_label
_atom_site_fract_x
_atom_site_fract_y
_atom_site_fract_z
Zr1 0.000 0.000 0.000
Tl1 0.000 0.248 0.250
Cu1 0.000 0.466 0.750
Se1 0.000 0.068 0.750
Se2 0.000 0.375 0.552
```



What is the formula in the second record?
HoSb3